Starting from a PBE-relaxed structure, the X-ray powder pattern of PmFe10B2 was simulated for Cu Kα, 1.54184 Å.
Peak positions follow from Bragg's law for the DFT cell and can differ from measured ones.

Structure:
a = 6.1979 Å, b = 6.1979 Å, c = 7.8854 Å
α = 90.00°, β = 90.00°, γ = 96.83°
Atoms (fractional coordinates):
1 Pm 0.1130 0.8870 0.7500
2 Pm 0.8870 0.1130 0.2500
3 Fe 0.1111 0.4039 0.7500
4 Fe 0.1715 0.8285 0.0945
5 Fe 0.1715 0.8285 0.4055
6 Fe 0.2356 0.2356 0.0000
7 Fe 0.2356 0.2356 0.5000
8 Fe 0.2437 0.4725 0.2500
9 Fe 0.3884 0.6116 0.5758
10 Fe 0.3884 0.6116 0.9242
11 Fe 0.4039 0.1111 0.2500
12 Fe 0.4725 0.2437 0.7500
13 Fe 0.5275 0.7563 0.2500
14 Fe 0.5961 0.8889 0.7500
15 Fe 0.6116 0.3884 0.0758
16 Fe 0.6116 0.3884 0.4242
17 Fe 0.7563 0.5275 0.7500
18 Fe 0.7644 0.7644 0.0000
19 Fe 0.7644 0.7644 0.5000
20 Fe 0.8285 0.1715 0.5945
21 Fe 0.8285 0.1715 0.9055
22 Fe 0.8889 0.5961 0.2500
23 B 0.0000 0.5000 0.0000
24 B 0.0000 0.5000 0.5000
25 B 0.5000 0.0000 0.0000
26 B 0.5000 0.0000 0.5000

Top 6 peaks for 5° ≤ 2θ ≤ 70°, low angle first:
2θ = 38.85°, d 2.318, rel. 20; 2θ = 39.41°, d 2.287, rel. 35; 2θ = 41.27°, d 2.188, rel. 33; 2θ = 44.03°, d 2.057, rel. 26; 2θ = 45.38°, d 1.998, rel. 100; 2θ = 45.70°, d 1.985, rel. 23